The following is a theoretical X-ray diffraction stick pattern of Tb2TaGaN5. It was derived from a PBE-relaxed structure, using Cu Kα (weighted mean of Kα1 and Kα2).
Neutral-atom scattering factors, no anomalous dispersion.

```
data_Tb2TaGaN5
_space_group_name_H-M_alt 'C m c 21'
_space_group_IT_number 36
_space_group_name_Hall 'C 2c -2'
_cell_length_a 3.238
_cell_length_b 13.783
_cell_length_c 9.990
_cell_angle_alpha 90.00
_cell_angle_beta 90.00
_cell_angle_gamma 90.00
loop_
_atom_site_label
_atom_site_fract_x
_atom_site_fract_y
_atom_site_fract_z
Tb1 0.000 0.113 0.000
Tb2 0.000 0.129 0.586
Ta1 0.000 0.220 0.302
Ga1 0.000 0.487 0.773
N1 0.000 0.062 0.347
N2 0.000 0.287 0.946
N3 0.000 0.300 0.669
N4 0.000 0.365 0.305
N5 0.000 0.500 0.079
```

Peak list (8 most intense, 2θ = 10–90°, low angle first)
d/Å  2θ/deg  Rel. int.
3.000  29.78  65.5
2.836  31.54  100.0
2.666  33.62  45.1
2.647  33.87  54.1
2.558  35.08  32.9
2.289  39.36  76.7
1.935  46.96  33.2
1.594  57.83  59.3